Theoretical PXRD pattern of PbSeO3 for a wavelength of 1.5418 Å, from a structure optimized by DFT (PBE).

Most intense lines, 10 to 90 degrees two-theta, sorted by position:
2θ (°)  intensity
20.95  31
25.72  55
26.27  83
27.60  50
31.92  100
42.67  38

Crystal structure
```
PbSeO3
1.0
4.598 0.000 0.000
0.000 5.615 0.000
-1.960 0.000 6.468
Pb Se O
2 2 6
direct
0.134 0.250 0.305
0.866 0.750 0.695
0.413 0.250 0.836
0.587 0.750 0.164
0.200 0.750 0.120
0.300 0.014 0.663
0.300 0.486 0.663
0.700 0.514 0.337
0.700 0.986 0.337
0.800 0.250 0.880
```

---

Theoretical PXRD pattern of CaZn2P2O8 for a wavelength of 1.5418 Å, from a structure optimized by DFT (PBE).

Most intense lines, 10 to 90 degrees two-theta, sorted by position:
2θ (°)  intensity
21.19  100
23.29  44
29.07  70
29.64  81
29.81  61
35.73  62

Crystal structure
```
CaZn2P2O8
1.0
5.043 0.000 0.000
-0.610 8.516 0.000
-1.922 -3.767 8.044
Ca Zn P O
2 4 4 16
direct
0.225 0.233 0.052
0.775 0.767 0.948
0.157 0.417 0.712
0.383 0.110 0.411
0.617 0.890 0.589
0.843 0.583 0.288
0.110 0.781 0.697
0.320 0.709 0.182
0.680 0.291 0.818
0.890 0.219 0.303
0.001 0.671 0.148
0.004 0.382 0.285
0.040 0.939 0.832
0.061 0.227 0.474
0.392 0.757 0.050
0.421 0.788 0.705
0.433 0.867 0.358
0.442 0.552 0.200
0.558 0.448 0.800
0.567 0.133 0.642
0.579 0.212 0.295
0.608 0.243 0.950
0.939 0.773 0.526
0.960 0.061 0.168
0.996 0.618 0.715
0.999 0.329 0.852
```

---

Theoretical PXRD pattern of Rb2GaCuF6 for a wavelength of 1.5418 Å, from a structure optimized by DFT (PBE).

Most intense lines, 10 to 90 degrees two-theta, sorted by position:
2θ (°)  intensity
29.74  100
42.57  43
52.79  38
61.77  25
70.05  18
85.54  21

Crystal structure
```
Rb2GaCuF6
1.0
0.000 4.248 4.248
4.248 0.000 4.248
4.248 4.248 0.000
Rb Ga Cu F
2 1 1 6
direct
0.250 0.250 0.250
0.750 0.750 0.750
0.000 0.000 0.000
0.500 0.500 0.500
0.229 0.229 0.771
0.229 0.771 0.229
0.229 0.771 0.771
0.771 0.229 0.229
0.771 0.229 0.771
0.771 0.771 0.229
```

---

Theoretical PXRD pattern of SmSn3 for a wavelength of 1.5418 Å, from a structure optimized by DFT (PBE).

Most intense lines, 10 to 90 degrees two-theta, sorted by position:
2θ (°)  intensity
32.60  100
37.82  50
54.56  36
65.02  43
68.30  12
89.88  19

Crystal structure
```
SmSn3
1.0
4.757 0.000 0.000
0.000 4.757 0.000
0.000 0.000 4.757
Sm Sn
1 3
direct
0.000 0.000 0.000
0.000 0.500 0.500
0.500 0.000 0.500
0.500 0.500 0.000
```

---

Theoretical PXRD pattern of N for a wavelength of 1.5418 Å, from a structure optimized by DFT (PBE).

Most intense lines, 10 to 90 degrees two-theta, sorted by position:
2θ (°)  intensity
26.29  100
30.44  40
37.51  6
43.59  14
51.62  8
58.84  6

Crystal structure
```
N
1.0
5.872 0.000 0.000
0.000 5.872 0.000
0.000 0.000 5.872
N
8
direct
0.045 0.455 0.545
0.064 0.064 0.064
0.436 0.936 0.564
0.455 0.545 0.045
0.545 0.045 0.455
0.564 0.436 0.936
0.936 0.564 0.436
0.955 0.955 0.955
```

---

Theoretical PXRD pattern of Y2Si5Ir3 for a wavelength of 1.5418 Å, from a structure optimized by DFT (PBE).

Most intense lines, 10 to 90 degrees two-theta, sorted by position:
2θ (°)  intensity
24.70  47
24.95  71
32.85  56
34.73  100
35.58  34
44.25  75

Crystal structure
```
Y2Si5Ir3
1.0
-4.993 5.731 2.924
4.993 -5.731 2.924
4.993 5.731 -2.924
Y Si Ir
4 10 6
direct
0.131 0.230 0.361
0.369 0.730 0.099
0.631 0.270 0.901
0.869 0.770 0.639
0.024 0.750 0.274
0.106 0.655 0.762
0.250 0.250 0.000
0.394 0.155 0.549
0.476 0.750 0.726
0.524 0.250 0.274
0.606 0.845 0.451
0.750 0.750 0.000
0.894 0.345 0.238
0.976 0.250 0.726
0.139 0.886 0.026
0.250 0.750 0.500
0.361 0.386 0.747
0.639 0.614 0.253
0.750 0.250 0.500
0.861 0.114 0.974
```

---

Theoretical PXRD pattern of AuI3N for a wavelength of 1.5418 Å, from a structure optimized by DFT (PBE).

Most intense lines, 10 to 90 degrees two-theta, sorted by position:
2θ (°)  intensity
14.57  100
17.06  46
17.60  29
21.13  53
29.04  31
34.51  25

Crystal structure
```
AuI3N
1.0
7.626 0.000 0.000
0.000 10.079 0.000
-7.450 0.000 10.397
Au I N
4 12 4
direct
0.000 0.000 0.000
0.000 0.500 0.500
0.500 0.000 0.500
0.500 0.500 0.000
0.138 0.045 0.252
0.138 0.455 0.752
0.261 0.152 0.539
0.261 0.348 0.039
0.316 0.644 0.532
0.316 0.856 0.032
0.684 0.144 0.968
0.684 0.356 0.468
0.739 0.652 0.961
0.739 0.848 0.461
0.862 0.545 0.248
0.862 0.955 0.748
0.322 0.616 0.248
0.322 0.884 0.748
0.678 0.116 0.252
0.678 0.384 0.752
```

---

What did the fifth record say?
Theoretical PXRD pattern of N for a wavelength of 1.5418 Å, from a structure optimized by DFT (PBE).

Most intense lines, 10 to 90 degrees two-theta, sorted by position:
2θ (°)  intensity
26.29  100
30.44  40
37.51  6
43.59  14
51.62  8
58.84  6

Crystal structure
```
N
1.0
5.872 0.000 0.000
0.000 5.872 0.000
0.000 0.000 5.872
N
8
direct
0.045 0.455 0.545
0.064 0.064 0.064
0.436 0.936 0.564
0.455 0.545 0.045
0.545 0.045 0.455
0.564 0.436 0.936
0.936 0.564 0.436
0.955 0.955 0.955
```